Calculated powder X-ray diffraction pattern
Compound: Dy2SO6
Radiation: Cu Kα (weighted mean of Kα1 and Kα2)
Structure: a PBE-relaxed structure
Kinematic intensities with the Lorentz-polarization factor, no thermal factor.

Main lines, in order of rising 2θ (2θ from 10° to 80°):
two_theta  intensity  (hkl)
12.90  27.2  0 2 0
22.96  12.0  0 1 1
29.50  100.0  1 3 0
31.33  35.7  1 0 1
39.70  16.2  0 5 1
44.89  13.8  2 0 0
46.91  11.7  0 2 2
51.17  21.9  1 6 1
54.64  33.1  2 3 1
65.39  14.0  2 0 2

Atomic structure:
```
data_Dy2SO6
_chemical_formula_sum 'Dy4 S2 O12'
_space_group_name_H-M_alt 'P 21 21 2'
_space_group_IT_number 18
_space_group_name_Hall 'P 2 2ab'
_cell_length_a 4.041
_cell_length_b 13.725
_cell_length_c 4.035
_cell_angle_alpha 90.00
_cell_angle_beta 90.00
_cell_angle_gamma 90.00
loop_
_atom_site_label
_atom_site_type_symbol
_atom_site_fract_x
_atom_site_fract_y
_atom_site_fract_z
Dy1 Dy 0.004 0.177 0.247
S1 S 0.000 0.500 0.268
O1 O 0.006 0.250 0.747
O2 O 0.195 0.433 0.061
O3 O 0.221 0.558 0.479
```

***

Calculated powder X-ray diffraction pattern
Compound: TaNi4
Radiation: Cu Kα (weighted mean of Kα1 and Kα2)
Structure: a PBE-relaxed structure
Kinematic intensities with the Lorentz-polarization factor, no thermal factor.

Main lines, in order of rising 2θ (2θ from 10° to 80°):
two_theta  intensity  (hkl)
14.13  35.7  1 1 0
35.86  20.0  3 0 1
38.16  26.5  0 0 2
42.02  28.0  4 1 0
43.30  33.7  3 3 0
43.47  21.2  2 0 2
44.71  58.2  2 1 2
46.41  100.0  4 1 1
47.60  25.0  3 3 1
74.81  23.2  4 1 3

Atomic structure:
```
data_TaNi4
_chemical_formula_sum 'Ta6 Ni24'
_space_group_name_H-M_alt 'P 42/m n m'
_space_group_IT_number 136
_space_group_name_Hall '-P 4n 2n'
_cell_length_a 8.865
_cell_length_b 8.865
_cell_length_c 4.717
_cell_angle_alpha 90.00
_cell_angle_beta 90.00
_cell_angle_gamma 90.00
loop_
_atom_site_label
_atom_site_type_symbol
_atom_site_fract_x
_atom_site_fract_y
_atom_site_fract_z
Ta1 Ta 0.000 0.000 0.000
Ta2 Ta 0.123 0.123 0.500
Ni1 Ni 0.036 0.374 0.500
Ni2 Ni 0.067 0.269 0.000
Ni3 Ni 0.181 0.819 0.256
```